1.
For SnPbS2F, a structure optimized by DFT (PBE) gives the computed powder diffraction line list in this record (Cu Ka).
Intensities are scaled so that the largest is 1000.

Main lines, in order of rising 2θ (2θ = 5–70°):
2θ/deg	intensity	index
6.33	301	0 0 1
25.53	338	0 0 4
25.84	1000	1 0 2
31.92	556	1 1 0
41.31	492	1 1 4
45.19	326	1 0 6
45.76	249	2 0 0
53.13	193	2 0 4
53.30	303	2 1 2
66.27	214	2 1 6

Crystal structure
abc: 3.9653 3.9653 13.9571
angles: 90.00 90.00 90.00
Positions (direct):
Sn 0.2500 0.2500 0.1208
Sn 0.7500 0.7500 0.8792
Pb 0.2500 0.2500 0.6147
Pb 0.7500 0.7500 0.3853
S 0.2500 0.2500 0.2962
S 0.2500 0.2500 0.9013
S 0.7500 0.7500 0.0987
S 0.7500 0.7500 0.7038
F 0.2500 0.7500 0.5000
F 0.7500 0.2500 0.5000

2.
For ScPaPt2, a structure optimized by DFT (PBE) gives the computed powder diffraction line list in this record (Cu Ka).
Intensities are scaled so that the largest is 1000.

Main lines, in order of rising 2θ (2θ = 5–70°):
2θ/deg	intensity	index
24.16	285	0 1 1
31.32	207	2 0 -1
33.26	227	1 1 -2
34.48	1000	0 1 2
34.83	341	2 0 -2
39.58	725	2 1 0
39.93	415	0 2 0
47.90	204	2 1 -3
54.01	198	2 2 -2
68.33	206	2 2 2

Crystal structure
abc: 5.7142 4.5161 6.8972
angles: 90.00 112.67 90.00
Positions (direct):
Sc 0.1122 0.2500 0.3982
Sc 0.8878 0.7500 0.6018
Pa 0.3289 0.7500 0.1206
Pa 0.6711 0.2500 0.8794
Pt 0.1446 0.2500 0.8215
Pt 0.3962 0.7500 0.5868
Pt 0.6038 0.2500 0.4132
Pt 0.8554 0.7500 0.1785